1.
LiVF5: simulated PXRD pattern (Cu Kα (weighted mean of Kα1 and Kα2)), based on a cell relaxed with GGA+U.
Intensities are scaled so that the largest is 100.

Main lines, in order of rising 2θ (2θ = 10–90°):
| d/Å | intensity |
| --- | --- |
| 5.999 | 100.0 |
| 4.535 | 20.6 |
| 4.484 | 83.1 |
| 3.908 | 98.6 |
| 3.685 | 46.1 |
| 3.407 | 30.1 |
| 2.268 | 26.1 |
| 2.166 | 45.2 |
| 2.139 | 30.8 |
| 1.625 | 17.3 |

Structural model:
a = 5.266 Å, b = 8.942 Å, c = 9.496 Å
α = 90.00°, β = 121.59°, γ = 90.00°
Fractional coordinates of all 28 atoms:
Li 0.170 0.093 0.289
Li 0.170 0.407 0.789
Li 0.830 0.593 0.211
Li 0.830 0.907 0.711
V 0.492 0.629 0.624
V 0.492 0.871 0.124
V 0.508 0.129 0.876
V 0.508 0.371 0.376
F 0.160 0.200 0.699
F 0.160 0.300 0.199
F 0.188 0.714 0.622
F 0.188 0.786 0.122
F 0.233 0.519 0.407
F 0.233 0.981 0.907
F 0.453 0.218 0.492
F 0.453 0.282 0.992
F 0.475 0.024 0.254
F 0.475 0.476 0.754
F 0.525 0.524 0.246
F 0.525 0.976 0.746
F 0.547 0.718 0.008
F 0.547 0.782 0.508
F 0.767 0.019 0.093
F 0.767 0.481 0.593
F 0.812 0.214 0.878
F 0.812 0.286 0.378
F 0.840 0.700 0.801
F 0.840 0.800 0.301

---

2.
LiVF5: simulated PXRD pattern (Cu Kα (weighted mean of Kα1 and Kα2)), based on a cell relaxed with GGA+U.
Intensities are scaled so that the largest is 100.

Main lines, in order of rising 2θ (2θ = 10–90°):
| d/Å | intensity |
| --- | --- |
| 5.229 | 47.0 |
| 4.670 | 100.0 |
| 3.523 | 48.2 |
| 3.041 | 9.3 |
| 2.899 | 16.4 |
| 2.629 | 13.0 |
| 2.251 | 11.4 |
| 1.847 | 18.3 |
| 1.824 | 18.9 |
| 1.737 | 7.7 |

Structural model:
a = 7.484 Å, b = 5.219 Å, c = 10.459 Å
α = 90.00°, β = 90.00°, γ = 90.00°
Fractional coordinates of all 28 atoms:
Li 0.140 0.182 0.000
Li 0.360 0.682 0.500
Li 0.640 0.318 0.000
Li 0.860 0.818 0.500
V 0.118 0.726 0.250
V 0.382 0.226 0.750
V 0.618 0.774 0.250
V 0.882 0.274 0.750
F 0.058 0.939 0.384
F 0.062 0.968 0.129
F 0.137 0.376 0.751
F 0.162 0.489 0.123
F 0.186 0.511 0.383
F 0.314 0.011 0.883
F 0.338 0.989 0.623
F 0.363 0.876 0.251
F 0.438 0.468 0.629
F 0.442 0.439 0.884
F 0.558 0.561 0.384
F 0.562 0.532 0.129
F 0.637 0.124 0.751
F 0.662 0.011 0.123
F 0.686 0.989 0.383
F 0.814 0.489 0.883
F 0.838 0.511 0.623
F 0.863 0.624 0.251
F 0.938 0.032 0.629
F 0.942 0.061 0.884

---

3.
LiVF5: simulated PXRD pattern (Cu Kα (weighted mean of Kα1 and Kα2)), based on a cell relaxed with GGA+U.
Intensities are scaled so that the largest is 100.

Main lines, in order of rising 2θ (2θ = 10–90°):
| d/Å | intensity |
| --- | --- |
| 4.876 | 100.0 |
| 3.767 | 47.4 |
| 3.397 | 45.3 |
| 3.270 | 55.7 |
| 3.198 | 25.2 |
| 2.051 | 15.5 |
| 1.903 | 16.8 |
| 1.884 | 22.5 |
| 1.860 | 21.8 |
| 1.635 | 16.5 |

Structural model:
a = 5.300 Å, b = 5.300 Å, c = 7.610 Å
α = 111.20°, β = 111.20°, γ = 74.22°
Fractional coordinates of all 14 atoms:
Li 0.020 0.980 0.750
Li 0.980 0.020 0.250
V 0.500 0.500 0.000
V 0.500 0.500 0.500
F 0.197 0.771 0.542
F 0.228 0.288 0.874
F 0.229 0.803 0.958
F 0.288 0.228 0.374
F 0.424 0.576 0.250
F 0.576 0.424 0.750
F 0.712 0.772 0.626
F 0.771 0.197 0.042
F 0.772 0.712 0.126
F 0.803 0.229 0.458

---

4.
LiVF6: simulated PXRD pattern (Cu Kα (weighted mean of Kα1 and Kα2)), based on a cell relaxed with GGA+U.
Intensities are scaled so that the largest is 100.

Main lines, in order of rising 2θ (2θ = 10–90°):
| d/Å | intensity |
| --- | --- |
| 4.844 | 80.7 |
| 4.319 | 51.8 |
| 4.148 | 100.0 |
| 3.770 | 72.5 |
| 3.223 | 39.7 |
| 2.373 | 34.9 |
| 2.365 | 23.0 |
| 1.907 | 55.7 |
| 1.883 | 31.6 |
| 1.588 | 15.3 |

Structural model:
a = 5.044 Å, b = 8.637 Å, c = 5.167 Å
α = 90.00°, β = 110.36°, γ = 90.00°
Fractional coordinates of all 16 atoms:
Li 0.105 0.000 0.043
Li 0.895 0.500 0.957
V 0.244 0.682 0.508
V 0.756 0.182 0.492
F 0.120 0.189 0.717
F 0.154 0.535 0.715
F 0.196 0.829 0.736
F 0.280 0.534 0.268
F 0.325 0.833 0.301
F 0.383 0.157 0.288
F 0.617 0.657 0.712
F 0.675 0.333 0.699
F 0.720 0.034 0.732
F 0.804 0.329 0.264
F 0.846 0.035 0.285
F 0.880 0.689 0.283

---

5.
Li3VF8: simulated PXRD pattern (Cu Kα (weighted mean of Kα1 and Kα2)), based on a cell relaxed with GGA+U.
Intensities are scaled so that the largest is 100.

Main lines, in order of rising 2θ (2θ = 10–90°):
| d/Å | intensity |
| --- | --- |
| 6.318 | 36.9 |
| 4.886 | 100.0 |
| 4.402 | 13.4 |
| 3.865 | 33.8 |
| 3.612 | 27.0 |
| 2.653 | 17.5 |
| 2.201 | 18.1 |
| 2.151 | 44.4 |
| 1.635 | 11.0 |
| 1.538 | 14.4 |

Structural model:
a = 5.291 Å, b = 5.291 Å, c = 6.318 Å
α = 90.00°, β = 90.00°, γ = 112.58°
Fractional coordinates of all 12 atoms:
Li 0.000 0.000 0.000
Li 0.000 0.500 0.840
Li 0.500 0.000 0.160
V 0.000 0.000 0.500
F 0.202 0.232 0.707
F 0.205 0.795 0.500
F 0.206 0.794 0.000
F 0.232 0.202 0.293
F 0.768 0.798 0.293
F 0.794 0.206 0.000
F 0.795 0.205 0.500
F 0.798 0.768 0.707

---

6.
Li3VF5: simulated PXRD pattern (Cu Kα (weighted mean of Kα1 and Kα2)), based on a cell relaxed with GGA+U.
Intensities are scaled so that the largest is 100.

Main lines, in order of rising 2θ (2θ = 10–90°):
| d/Å | intensity |
| --- | --- |
| 5.173 | 100.0 |
| 3.868 | 38.6 |
| 3.479 | 20.4 |
| 3.462 | 18.2 |
| 3.425 | 69.0 |
| 2.455 | 18.8 |
| 2.418 | 26.7 |
| 2.223 | 25.8 |
| 1.998 | 31.9 |
| 1.934 | 24.3 |

Structural model:
a = 7.739 Å, b = 6.958 Å, c = 7.874 Å
α = 90.00°, β = 91.85°, γ = 90.00°
Fractional coordinates of all 36 atoms:
Li 0.003 0.052 0.218
Li 0.003 0.448 0.718
Li 0.266 0.222 0.968
Li 0.266 0.278 0.468
Li 0.465 0.015 0.313
Li 0.465 0.485 0.813
Li 0.535 0.515 0.187
Li 0.535 0.985 0.687
Li 0.734 0.722 0.532
Li 0.734 0.778 0.032
Li 0.997 0.552 0.282
Li 0.997 0.948 0.782
V 0.252 0.736 0.594
V 0.252 0.764 0.094
V 0.748 0.236 0.906
V 0.748 0.264 0.406
F 0.023 0.225 0.884
F 0.023 0.275 0.384
F 0.229 0.640 0.340
F 0.229 0.860 0.840
F 0.238 0.055 0.163
F 0.238 0.445 0.663
F 0.321 0.015 0.523
F 0.321 0.485 0.023
F 0.483 0.200 0.846
F 0.483 0.300 0.346
F 0.517 0.700 0.654
F 0.517 0.800 0.154
F 0.679 0.515 0.977
F 0.679 0.985 0.477
F 0.762 0.555 0.337
F 0.762 0.945 0.837
F 0.771 0.140 0.160
F 0.771 0.360 0.660
F 0.977 0.725 0.616
F 0.977 0.775 0.116

---

7.
Li3VF5: simulated PXRD pattern (Cu Kα (weighted mean of Kα1 and Kα2)), based on a cell relaxed with GGA+U.
Intensities are scaled so that the largest is 100.

Main lines, in order of rising 2θ (2θ = 10–90°):
| d/Å | intensity |
| --- | --- |
| 5.654 | 26.1 |
| 4.303 | 85.3 |
| 3.945 | 66.5 |
| 3.459 | 100.0 |
| 2.861 | 25.3 |
| 2.502 | 31.8 |
| 2.341 | 26.2 |
| 2.025 | 42.3 |
| 1.972 | 36.6 |
| 1.941 | 42.3 |

Structural model:
a = 6.634 Å, b = 7.889 Å, c = 8.107 Å
α = 90.00°, β = 90.00°, γ = 90.00°
Fractional coordinates of all 36 atoms:
Li 0.016 0.074 0.228
Li 0.016 0.426 0.228
Li 0.208 0.750 0.528
Li 0.292 0.250 0.028
Li 0.484 0.574 0.728
Li 0.484 0.926 0.728
Li 0.516 0.074 0.272
Li 0.516 0.426 0.272
Li 0.708 0.750 0.972
Li 0.792 0.250 0.472
Li 0.984 0.574 0.772
Li 0.984 0.926 0.772
V 0.229 0.250 0.602
V 0.271 0.750 0.102
V 0.729 0.250 0.898
V 0.771 0.750 0.398
F 0.006 0.750 0.956
F 0.074 0.250 0.378
F 0.080 0.750 0.312
F 0.223 0.517 0.641
F 0.223 0.983 0.641
F 0.277 0.017 0.141
F 0.277 0.483 0.141
F 0.420 0.250 0.812
F 0.426 0.750 0.878
F 0.494 0.250 0.456
F 0.506 0.750 0.544
F 0.574 0.250 0.122
F 0.580 0.750 0.188
F 0.723 0.517 0.859
F 0.723 0.983 0.859
F 0.777 0.017 0.359
F 0.777 0.483 0.359
F 0.920 0.250 0.688
F 0.926 0.750 0.622
F 0.994 0.250 0.044

---

8.
LiVF5: simulated PXRD pattern (Cu Kα (weighted mean of Kα1 and Kα2)), based on a cell relaxed with GGA+U.
Intensities are scaled so that the largest is 100.

Main lines, in order of rising 2θ (2θ = 10–90°):
| d/Å | intensity |
| --- | --- |
| 5.472 | 61.7 |
| 4.110 | 100.0 |
| 3.778 | 61.2 |
| 3.345 | 80.2 |
| 3.112 | 18.5 |
| 1.947 | 19.3 |
| 1.889 | 32.3 |
| 1.839 | 30.8 |
| 1.645 | 15.4 |
| 1.318 | 15.7 |

Structural model:
a = 6.225 Å, b = 7.556 Å, c = 7.934 Å
α = 90.00°, β = 90.00°, γ = 90.00°
Fractional coordinates of all 28 atoms:
Li 0.213 0.250 0.075
Li 0.287 0.750 0.575
Li 0.713 0.250 0.425
Li 0.787 0.750 0.925
V 0.236 0.750 0.100
V 0.264 0.250 0.600
V 0.736 0.750 0.400
V 0.764 0.250 0.900
F 0.005 0.250 0.490
F 0.085 0.250 0.816
F 0.096 0.750 0.894
F 0.220 0.513 0.128
F 0.220 0.987 0.128
F 0.280 0.013 0.628
F 0.280 0.487 0.628
F 0.404 0.250 0.394
F 0.415 0.750 0.316
F 0.495 0.750 0.990
F 0.505 0.250 0.010
F 0.585 0.250 0.684
F 0.596 0.750 0.606
F 0.720 0.513 0.372
F 0.720 0.987 0.372
F 0.780 0.013 0.872
F 0.780 0.487 0.872
F 0.904 0.250 0.106
F 0.915 0.750 0.184
F 0.995 0.750 0.510

---

9.
Li3VF8: simulated PXRD pattern (Cu Kα (weighted mean of Kα1 and Kα2)), based on a cell relaxed with GGA+U.
Intensities are scaled so that the largest is 100.

Main lines, in order of rising 2θ (2θ = 10–90°):
| d/Å | intensity |
| --- | --- |
| 5.076 | 68.6 |
| 4.811 | 13.7 |
| 4.672 | 25.9 |
| 4.620 | 100.0 |
| 3.352 | 24.6 |
| 2.405 | 37.6 |
| 2.336 | 24.8 |
| 2.263 | 23.3 |
| 1.762 | 23.6 |
| 1.743 | 18.1 |

Structural model:
a = 5.849 Å, b = 5.849 Å, c = 5.599 Å
α = 107.92°, β = 107.92°, γ = 106.03°
Fractional coordinates of all 12 atoms:
Li 0.000 0.000 0.000
Li 0.000 0.500 0.000
Li 0.500 0.000 0.000
V 0.500 0.500 0.500
F 0.197 0.803 0.000
F 0.246 0.246 0.501
F 0.306 0.694 0.500
F 0.337 0.337 0.116
F 0.663 0.663 0.884
F 0.694 0.306 0.500
F 0.754 0.754 0.499
F 0.803 0.197 0.000

---

10.
LiVF5: simulated PXRD pattern (Cu Kα (weighted mean of Kα1 and Kα2)), based on a cell relaxed with GGA+U.
Intensities are scaled so that the largest is 100.

Main lines, in order of rising 2θ (2θ = 10–90°):
| d/Å | intensity |
| --- | --- |
| 4.967 | 100.0 |
| 3.656 | 37.7 |
| 3.404 | 21.5 |
| 3.384 | 24.7 |
| 3.362 | 18.0 |
| 3.324 | 48.1 |
| 2.293 | 11.6 |
| 1.942 | 15.7 |
| 1.908 | 11.9 |
| 1.828 | 17.4 |

Structural model:
a = 7.314 Å, b = 6.769 Å, c = 7.631 Å
α = 90.00°, β = 90.87°, γ = 90.00°
Fractional coordinates of all 28 atoms:
Li 0.249 0.241 0.037
Li 0.249 0.259 0.537
Li 0.751 0.741 0.463
Li 0.751 0.759 0.963
V 0.245 0.736 0.391
V 0.245 0.764 0.891
V 0.755 0.236 0.109
V 0.755 0.264 0.609
F 0.003 0.206 0.124
F 0.003 0.294 0.624
F 0.227 0.002 0.443
F 0.227 0.498 0.943
F 0.248 0.683 0.643
F 0.248 0.817 0.143
F 0.260 0.037 0.852
F 0.260 0.463 0.352
F 0.495 0.749 0.895
F 0.495 0.751 0.395
F 0.505 0.249 0.605
F 0.505 0.251 0.105
F 0.740 0.537 0.648
F 0.740 0.963 0.148
F 0.752 0.183 0.857
F 0.752 0.317 0.357
F 0.773 0.502 0.057
F 0.773 0.998 0.557
F 0.997 0.706 0.376
F 0.997 0.794 0.876